Diffraction record for SmBe4Ir. The X-ray powder pattern is calculated, not measured: it uses DFT lattice parameters and positions (GGA-PBE) and CuKα.
Lines closer than 0.1° are merged.

Structure:
```
SmBe4Ir
1.0
0.0000 3.3519 3.3519
3.3519 0.0000 3.3519
3.3519 3.3519 0.0000
Sm Be Ir
1 4 1
Cartesian
0.0000 0.0000 0.0000 Sm
2.5403 2.5403 2.5403 Be
4.1636 4.1636 2.5403 Be
4.1636 2.5403 4.1636 Be
2.5403 4.1636 4.1636 Be
5.0279 5.0279 5.0279 Ir
```

Most intense lines, 5° ≤ 2θ ≤ 70°, sorted by position:
2θ/deg	I_rel
23.0	100.0
26.6	1.4
38.0	92.1
44.8	64.3
47.0	0.6
54.8	14.0
60.2	22.4
61.9	0.7
68.6	32.9


Diffraction record for TaBe8Ir3. The X-ray powder pattern is calculated, not measured: it uses DFT lattice parameters and positions (GGA-PBE) and CuKα.
Lines closer than 0.1° are merged.

Structure:
```
TaBe8Ir3
1.0
4.4167 0.0000 0.0000
-2.2083 3.8250 0.0000
0.0000 0.0000 7.2718
Ta Be Ir
1 8 3
Cartesian
0.0000 0.0000 0.0000 Ta
0.0000 1.2526 4.9367 Be
-1.1236 3.1987 4.9367 Be
0.0000 2.5500 3.2435 Be
0.0000 2.5500 6.8232 Be
2.2083 0.0180 1.4965 Be
1.1197 1.9035 1.4965 Be
1.1236 3.1987 4.9367 Be
3.2970 1.9035 1.4965 Be
0.0000 0.0000 2.5790 Ir
2.2083 1.2750 3.7309 Ir
2.2083 1.2750 6.5403 Ir
```

Most intense lines, 5° ≤ 2θ ≤ 70°, sorted by position:
2θ/deg	I_rel
23.3	93.9
24.5	49.8
26.3	66.0
34.0	40.2
40.9	98.1
44.2	100.0
48.2	60.4
49.3	16.8
61.8	33.0
69.1	20.3